(1)
Diffraction record for CeEr4In7. The XRD peak list is simulated, not measured: it uses a structure optimized by DFT (GGA-PBE) and Cu Kα (λ = 1.5418 Å).
Peak positions follow from Bragg's law for the DFT cell and can differ from measured ones.

```
data_CeEr4In7
_chemical_formula_sum 'Ce1 Er4 In7'
_space_group_name_H-M_alt 'P 1'
_space_group_IT_number 1
_cell_length_a 6.956
_cell_length_b 6.956
_cell_length_c 11.315
_cell_angle_alpha 119.28
_cell_angle_beta 119.28
_cell_angle_gamma 48.72
loop_
_space_group_symop_operation_xyz
'x,y,z'
loop_
_atom_site_label
_atom_site_fract_x
_atom_site_fract_y
_atom_site_fract_z
Ce1 0.000 0.000 0.000
Er1 0.191 0.191 0.783
Er2 0.393 0.393 0.668
Er3 0.607 0.607 0.332
Er4 0.809 0.809 0.217
In1 0.095 0.095 0.462
In2 0.249 0.249 0.324
In3 0.324 0.324 0.104
In4 0.500 0.500 0.000
In5 0.676 0.676 0.896
In6 0.751 0.751 0.676
In7 0.905 0.905 0.538
```

Largest 10 diffraction maxima, by angle, 15 to 90 degrees two-theta:
2θ 26.7, rel. 24.4
2θ 29.5, rel. 29.2
2θ 31.1, rel. 100.0
2θ 35.7, rel. 53.3
2θ 37.0, rel. 24.2
2θ 37.4, rel. 13.9
2θ 39.0, rel. 29.7
2θ 43.4, rel. 20.2
2θ 44.6, rel. 28.2
2θ 58.5, rel. 12.5


(2)
Diffraction record for Ce2As. The XRD peak list is simulated, not measured: it uses a structure optimized by DFT (GGA-PBE) and Cu Kα (λ = 1.5418 Å).
Peak positions follow from Bragg's law for the DFT cell and can differ from measured ones.

```
data_Ce2As
_chemical_formula_sum 'Ce4 As2'
_space_group_name_H-M_alt 'P 1'
_space_group_IT_number 1
_cell_length_a 4.244
_cell_length_b 4.215
_cell_length_c 8.620
_cell_angle_alpha 90.00
_cell_angle_beta 90.57
_cell_angle_gamma 90.00
loop_
_space_group_symop_operation_xyz
'x,y,z'
loop_
_atom_site_label
_atom_site_fract_x
_atom_site_fract_y
_atom_site_fract_z
Ce1 0.221 0.250 0.003
Ce2 0.244 0.750 0.365
Ce3 0.756 0.250 0.635
Ce4 0.779 0.750 0.997
As1 0.260 0.750 0.727
As2 0.740 0.250 0.273
```

Largest 10 diffraction maxima, by angle, 15 to 90 degrees two-theta:
2θ 29.7, rel. 47.0
2θ 31.1, rel. 69.7
2θ 31.6, rel. 100.0
2θ 31.7, rel. 86.1
2θ 36.4, rel. 54.4
2θ 36.7, rel. 60.6
2θ 42.6, rel. 42.6
2θ 42.9, rel. 44.3
2θ 54.0, rel. 43.0
2θ 62.1, rel. 27.7


(3)
Diffraction record for Sm4ErP5. The XRD peak list is simulated, not measured: it uses a structure optimized by DFT (GGA-PBE) and Cu Kα (λ = 1.5418 Å).
Peak positions follow from Bragg's law for the DFT cell and can differ from measured ones.

```
data_Sm4ErP5
_chemical_formula_sum 'Sm4 Er1 P5'
_space_group_name_H-M_alt 'P 1'
_space_group_IT_number 1
_cell_length_a 7.068
_cell_length_b 7.068
_cell_length_c 7.068
_cell_angle_alpha 99.60
_cell_angle_beta 99.60
_cell_angle_gamma 131.79
loop_
_space_group_symop_operation_xyz
'x,y,z'
loop_
_atom_site_label
_atom_site_fract_x
_atom_site_fract_y
_atom_site_fract_z
Sm1 0.099 0.300 0.399
Sm2 0.300 0.901 0.201
Sm3 0.700 0.099 0.799
Sm4 0.901 0.700 0.601
Er1 0.500 0.500 0.000
P1 0.000 0.000 0.000
P2 0.204 0.599 0.803
P3 0.401 0.204 0.606
P4 0.599 0.796 0.394
P5 0.796 0.401 0.197
```

Largest 10 diffraction maxima, by angle, 15 to 90 degrees two-theta:
2θ 26.8, rel. 83.8
2θ 31.0, rel. 100.0
2θ 44.4, rel. 73.3
2θ 52.6, rel. 41.2
2θ 55.1, rel. 25.7
2θ 64.6, rel. 11.9
2θ 71.2, rel. 16.6
2θ 73.4, rel. 32.9
2θ 81.7, rel. 24.9
2θ 87.9, rel. 13.1